# 1
For Cu2GeSe4, a cell relaxed with GGA-PBE gives the theoretical X-ray diffraction stick pattern in this record (CuKα).
Lines closer than 0.1° are merged.

Structure:
```
7
Lattice="-2.8151 2.8151 5.1555 2.8151 -2.8151 5.1555 2.8151 2.8151 -5.1555" Properties=species:S:1:pos:R:3 pbc="T T T"
Cu 2.8151 0.0000 2.5777
Cu 0.0000 2.8151 2.5777
Ge 0.0000 0.0000 0.0000
Se 1.3647 -1.3647 3.8855
Se 1.4503 1.4503 1.2700
Se 1.4503 4.1798 -1.2700
Se 1.3647 1.3647 6.4255
```

The 12 most intense peaks (15 to 90 degrees two-theta), by angle:
17.95°, d 4.941, rel. 9
28.32°, d 3.151, rel. 100
30.47°, d 2.934, rel. 4
36.74°, d 2.446, rel. 5
45.57°, d 1.991, rel. 25
47.85°, d 1.901, rel. 44
54.53°, d 1.683, rel. 30
58.51°, d 1.578, rel. 13
66.42°, d 1.408, rel. 8
73.72°, d 1.285, rel. 6
77.15°, d 1.236, rel. 11
85.92°, d 1.131, rel. 15

---

# 2
For Tb3CuGeSe7, a cell relaxed with GGA-PBE gives the theoretical X-ray diffraction stick pattern in this record (CuKα).
Lines closer than 0.1° are merged.

Structure:
```
24
Lattice="10.3799 0.0000 0.0000 -5.1900 8.9893 0.0000 0.0000 0.0000 6.1040" Properties=species:S:1:pos:R:3 pbc="T T T"
Tb -0.4462 3.1968 0.0000
Tb -2.1984 7.7772 0.0000
Tb 2.5454 1.9848 3.0520
Tb 2.6445 7.0045 0.0000
Tb 7.3883 1.2120 3.0520
Tb 5.6361 5.7925 3.0520
Cu 0.0000 0.0000 2.7553
Cu 0.0000 0.0000 5.8073
Ge 0.0000 5.9928 3.5557
Ge 5.1900 2.9964 0.5037
Se -2.0171 5.1695 4.5675
Se -0.3065 2.3527 2.8631
Se -2.9992 8.0784 2.8631
Se 1.8843 1.4418 5.9151
Se 0.0000 5.9928 1.1929
Se 1.7216 4.6576 4.5675
Se 0.2956 8.1514 4.5675
Se 4.8944 0.8379 1.5155
Se 3.4684 4.3316 1.5155
Se 5.1900 2.9964 4.2449
Se 3.3057 7.5474 2.8631
Se 8.1891 0.9109 5.9151
Se 5.4965 6.6365 5.9151
Se 7.2071 3.8197 1.5155
```

The 12 most intense peaks (15 to 90 degrees two-theta), by angle:
24.60°, d 3.619, rel. 62
29.26°, d 3.052, rel. 27
30.10°, d 2.969, rel. 51
30.94°, d 2.890, rel. 59
33.31°, d 2.690, rel. 48
34.56°, d 2.595, rel. 100
35.56°, d 2.525, rel. 59
36.02°, d 2.493, rel. 60
39.02°, d 2.308, rel. 41
39.70°, d 2.270, rel. 54
45.90°, d 1.977, rel. 34
47.06°, d 1.931, rel. 28